# NaTiFeO4
Computed powder diffraction line list, Cu Kα (λ = 1.5418 Å). Input: DFT lattice parameters and positions (PBE+U).
Lines closer than 0.1° are merged.

The 12 most intense peaks (15 to 90 degrees two-theta), by intensity:
35.62°, I = 100, hkl 1 2 1; 33.30°, I = 78, hkl 0 2 3; 19.09°, I = 52, hkl 0 0 2; 33.03°, I = 46, hkl 0 4 0; 49.41°, I = 40, hkl 1 4 2; 18.94°, I = 36, hkl 0 2 1; 49.67°, I = 30, hkl 1 0 4; 60.95°, I = 28, hkl 1 4 4; 40.31°, I = 21, hkl 1 3 1; 62.02°, I = 20, hkl 2 0 0; 42.82°, I = 19, hkl 1 1 3; 60.67°, I = 18, hkl 1 6 1

Cell and atoms:
Unit cell a=2.9926 b=10.8465 c=9.2982 alpha=90.00 beta=90.00 gamma=90.00
Space group Pmc2_1 (No. 26)
Symmetry-distinct sites (fractional):
1 Na 0.0000 0.0966 0.0000
2 Na 0.5000 0.4017 0.5157
3 Ti 0.0000 0.1374 0.3195
4 Ti 0.0000 0.3527 0.8420
5 Fe 0.5000 0.1453 0.6758
6 Fe 0.5000 0.3625 0.1929
7 O 0.0000 0.0299 0.7352
8 O 0.0000 0.2706 0.6496
9 O 0.0000 0.3178 0.3344
10 O 0.0000 0.3998 0.0485
11 O 0.5000 0.1004 0.4579
12 O 0.5000 0.1733 0.1831
13 O 0.5000 0.2345 0.8774
14 O 0.5000 0.4632 0.7845